No. 1
Structure and computed powder X-ray diffraction pattern of Sr2BeAsP (DFT lattice parameters and positions (GGA-PBE); Cu Kα X-rays).
Intensities are scaled so that the largest is 100.

Top 10 peaks for 15° ≤ 2θ ≤ 90°, by intensity:
| 2θ/deg | I_rel | h k l |
| --- | --- | --- |
| 33.54 | 100 | 1 2 1 |
| 32.25 | 47 | 0 2 2 |
| 42.44 | 34 | 1 0 3 |
| 25.24 | 25 | 1 0 1 |
| 27.53 | 24 | 1 1 1 |
| 23.54 | 19 | 0 0 2 |
| 63.00 | 18 | 1 4 3 |
| 56.84 | 18 | 2 2 2 |
| 45.47 | 16 | 2 0 0 |
| 44.27 | 15 | 0 4 0 |

Cell and atoms:
Cell: 3.9892 8.1838 7.5578 Å, 90.00 90.00 90.00°
Space group Pmmn (No. 59, origin choice 2)
Symmetry-distinct sites (fractional):
Sr  0.2500  0.0184  0.2363 [4 per cell]
Be  0.2500  0.2500  0.5979 [2 per cell]
As  0.2500  0.2500  0.8917 [2 per cell]
P  0.2500  0.7500  0.5464 [2 per cell]

No. 2
Structure and computed powder X-ray diffraction pattern of Y2CN2O2 (DFT lattice parameters and positions (GGA-PBE); Cu Kα X-rays).
Intensities are scaled so that the largest is 100.

Top 10 peaks for 15° ≤ 2θ ≤ 90°, by intensity:
| 2θ/deg | I_rel | h k l |
| --- | --- | --- |
| 32.07 | 100 | 1 0 3 |
| 48.67 | 52 | 1 1 0 |
| 29.62 | 48 | 1 0 2 |
| 28.07 | 44 | 1 0 1 |
| 47.75 | 30 | 1 0 7 |
| 43.18 | 29 | 1 0 6 |
| 59.81 | 28 | 1 1 6 |
| 32.60 | 28 | 0 0 6 |
| 21.57 | 26 | 0 0 4 |
| 57.84 | 24 | 1 0 9 |

Cell and atoms:
Cell: 3.7415 3.7415 16.4808 Å, 90.00 90.00 120.00°
Space group P6_3/mmc (No. 194)
Symmetry-distinct sites (fractional):
Y  0.3333  0.6667  0.0888 [4 per cell]
C  0.0000  0.0000  0.2500 [2 per cell]
N  0.0000  0.0000  0.1750 [4 per cell]
O  0.3333  0.6667  0.5518 [4 per cell]

No. 3
Structure and computed powder X-ray diffraction pattern of Sr2As4Pd5 (DFT lattice parameters and positions (GGA-PBE); Cu Kα X-rays).
Intensities are scaled so that the largest is 100.

Top 10 peaks for 15° ≤ 2θ ≤ 90°, by intensity:
| 2θ/deg | I_rel | h k l |
| --- | --- | --- |
| 38.97 | 100 | 2 0 4 |
| 34.80 | 98 | 1 3 3 |
| 34.98 | 73 | 2 2 0 |
| 42.73 | 61 | 2 2 4 |
| 16.86 | 51 | 0 2 0 |
| 29.29 | 45 | 0 2 4 |
| 41.99 | 42 | 0 4 4 |
| 61.60 | 41 | 2 6 0 |
| 48.65 | 40 | 0 0 8 |
| 42.58 | 36 | 1 3 5 |

Cell and atoms:
Cell: 5.8776 10.5183 14.9713 Å, 90.00 90.00 90.00°
Space group Fmmm (No. 69)
Symmetry-distinct sites (fractional):
Sr  0.0000  0.0000  0.1386 [8 per cell]
As  0.0000  0.1590  0.3747 [16 per cell]
Pd  0.0000  0.0000  0.5000 [4 per cell]
Pd  0.2500  0.2500  0.0000 [8 per cell]
Pd  0.2500  0.2500  0.2500 [8 per cell]

No. 4
Structure and computed powder X-ray diffraction pattern of Nd3Ag4Hg4 (DFT lattice parameters and positions (GGA-PBE); Cu Kα X-rays).
Intensities are scaled so that the largest is 100.

Top 10 peaks for 15° ≤ 2θ ≤ 90°, by intensity:
| 2θ/deg | I_rel | h k l |
| --- | --- | --- |
| 33.65 | 100 | -1 1 2 |
| 36.51 | 65 | 0 2 -1 |
| 32.85 | 64 | 1 0 3 |
| 36.96 | 64 | 0 1 5 |
| 36.99 | 57 | 0 1 -6 |
| 66.05 | 52 | 0 3 4 |
| 49.93 | 40 | 1 -2 4 |
| 32.05 | 32 | 1 1 -2 |
| 52.66 | 23 | 2 0 -1 |
| 43.37 | 23 | 1 1 -6 |

Cell and atoms:
Cell: 3.4762 4.9219 15.6650 Å, 98.99 96.31 90.09°
Space group P-1 (No. 2)
Symmetry-distinct sites (fractional):
Nd  0.0000  0.0000  0.0000 [1 per cell]
Nd  0.1404  0.6395  0.2809 [2 per cell]
Ag  0.2638  0.2642  0.5274 [2 per cell]
Ag  0.4066  0.9074  0.8132 [2 per cell]
Hg  0.3135  0.8141  0.6272 [2 per cell]
Hg  0.4517  0.4524  0.9039 [2 per cell]

No. 5
Structure and computed powder X-ray diffraction pattern of Ag5PS4Cl2 (DFT lattice parameters and positions (GGA-PBE); Cu Kα X-rays).
Intensities are scaled so that the largest is 100.

Top 10 peaks for 15° ≤ 2θ ≤ 90°, by intensity:
| 2θ/deg | I_rel | h k l |
| --- | --- | --- |
| 27.68 | 100 | 0 3 1 |
| 28.88 | 75 | 2 1 1 |
| 40.68 | 70 | 2 2 2 |
| 49.53 | 62 | 2 5 1 |
| 28.71 | 37 | 2 2 0 |
| 28.19 | 35 | 0 0 2 |
| 36.85 | 27 | 2 3 1 |
| 15.78 | 22 | 0 2 0 |
| 46.08 | 22 | 3 3 1 |
| 34.68 | 17 | 1 2 2 |

Cell and atoms:
Cell: 7.4666 11.2319 6.3306 Å, 90.00 90.00 90.00°
Space group Amm2 (No. 38)
Symmetry-distinct sites (fractional):
Ag  0.0000  0.0000  0.0000 [2 per cell]
Ag  0.2813  0.1924  0.4605 [8 per cell]
P  0.5000  0.0000  0.0577 [2 per cell]
S  0.2714  0.0000  0.2459 [4 per cell]
S  0.5000  0.1472  0.8574 [4 per cell]
Cl  0.0000  0.1692  0.7032 [4 per cell]

No. 6
Structure and computed powder X-ray diffraction pattern of Pu4RuRh3 (DFT lattice parameters and positions (GGA-PBE); Cu Kα X-rays).
Intensities are scaled so that the largest is 100.

Top 10 peaks for 15° ≤ 2θ ≤ 90°, by intensity:
| 2θ/deg | I_rel | h k l |
| --- | --- | --- |
| 37.33 | 100 | 2 2 0 |
| 37.17 | 51 | 0 2 4 |
| 67.11 | 37 | 2 4 4 |
| 67.42 | 18 | 4 2 4 |
| 53.58 | 18 | 0 4 0 |
| 26.05 | 18 | 0 2 0 |
| 79.58 | 11 | 4 4 0 |
| 54.05 | 9 | 4 0 0 |
| 26.26 | 9 | 2 0 0 |
| 46.08 | 8 | 2 2 4 |

Cell and atoms:
Cell: 6.7865 6.8462 13.6763 Å, 90.00 90.00 90.00°
Space group Fmmm (No. 69)
Symmetry-distinct sites (fractional):
Pu  0.2500  0.2500  0.1247 [16 per cell]
Ru  0.0000  0.0000  0.0000 [4 per cell]
Rh  0.0000  0.0000  0.2486 [8 per cell]
Rh  0.0000  0.0000  0.5000 [4 per cell]